Simulated powder XRD pattern of PrAg2GeS4 for copper Kα, from a structure optimized by DFT (GGA-PBE).
Kinematic intensities with the Lorentz-polarization factor, no thermal factor.

Peak list (8 most intense, 2θ = 5–70°, most intense first)
two_theta  I (rel.)
32.57  100
46.22  71
31.88  53
27.18  46
28.63  40
44.84  20
56.06  19
59.27  17

Atomic structure:
Lattice parameters (Å, degrees): 7.8692 7.8692 7.8692 123.09 118.17 88.97
Element x y z (fractional)
1 Pr 0.0000 0.0000 0.0000
2 Pr 0.5000 0.0000 0.5000
3 Ag 0.0000 0.5000 0.5000
4 Ag 0.5000 0.0000 0.0000
5 Ag 0.5000 0.5000 0.0000
6 Ag 0.5000 0.5000 0.5000
7 Ge 0.0000 0.0000 0.5000
8 Ge 0.0000 0.5000 0.0000
9 S 0.2295 0.7469 0.4827
10 S 0.2358 0.2531 0.9827
11 S 0.2365 0.2468 0.5103
12 S 0.2365 0.7262 0.9897
13 S 0.7635 0.2738 0.0103
14 S 0.7635 0.7532 0.4897
15 S 0.7642 0.7469 0.0173
16 S 0.7705 0.2531 0.5173

***

Simulated powder XRD pattern of V3Rh8 for copper Kα, from a structure optimized by DFT (GGA-PBE).
Kinematic intensities with the Lorentz-polarization factor, no thermal factor.

Peak list (8 most intense, 2θ = 5–70°, most intense first)
two_theta  I (rel.)
36.48  100
39.94  49
39.23  41
35.97  34
55.01  24
63.28  19
54.28  12
59.65  9

Atomic structure:
Lattice parameters (Å, degrees): 5.5465 5.5465 5.5465 89.02 89.02 89.02
Element x y z (fractional)
1 V 0.0000 0.5000 0.5000
2 V 0.5000 0.0000 0.5000
3 V 0.5000 0.5000 0.0000
4 Rh 0.1145 0.6799 0.8637
5 Rh 0.1363 0.8855 0.3201
6 Rh 0.3201 0.1363 0.8855
7 Rh 0.3718 0.3718 0.3718
8 Rh 0.6282 0.6282 0.6282
9 Rh 0.6799 0.8637 0.1145
10 Rh 0.8637 0.1145 0.6799
11 Rh 0.8855 0.3201 0.1363

***

Simulated powder XRD pattern of NdNp4Pd15 for copper Kα, from a structure optimized by DFT (GGA-PBE).
Kinematic intensities with the Lorentz-polarization factor, no thermal factor.

Peak list (8 most intense, 2θ = 5–70°, most intense first)
two_theta  I (rel.)
37.44  100
43.45  33
63.24  21
43.59  16
21.35  11
63.13  11
30.38  10
53.98  4

Atomic structure:
Lattice parameters (Å, degrees): 4.1652 4.1652 20.7620 90.00 90.00 90.00
Element x y z (fractional)
1 Nd 0.0000 0.0000 0.0000
2 Np 0.0000 0.0000 0.2009
3 Np 0.0000 0.0000 0.4003
4 Np 0.0000 0.0000 0.5997
5 Np 0.0000 0.0000 0.7991
6 Pd 0.0000 0.5000 0.1038
7 Pd 0.0000 0.5000 0.3009
8 Pd 0.0000 0.5000 0.5000
9 Pd 0.0000 0.5000 0.6991
10 Pd 0.0000 0.5000 0.8962
11 Pd 0.5000 0.0000 0.1038
12 Pd 0.5000 0.0000 0.3009
13 Pd 0.5000 0.0000 0.5000
14 Pd 0.5000 0.0000 0.6991
15 Pd 0.5000 0.0000 0.8962
16 Pd 0.5000 0.5000 0.0000
17 Pd 0.5000 0.5000 0.2020
18 Pd 0.5000 0.5000 0.4006
19 Pd 0.5000 0.5000 0.5994
20 Pd 0.5000 0.5000 0.7980

***

Simulated powder XRD pattern of NaCdCu2Br6 for copper Kα, from a structure optimized by DFT (GGA-PBE).
Kinematic intensities with the Lorentz-polarization factor, no thermal factor.

Peak list (8 most intense, 2θ = 5–70°, most intense first)
two_theta  I (rel.)
30.86  100
44.22  88
45.19  83
26.37  76
31.54  60
42.97  43
25.07  43
26.93  43

Atomic structure:
Lattice parameters (Å, degrees): 9.1043 9.1043 7.0326 97.62 97.62 87.83
Element x y z (fractional)
1 Na 0.0888 0.9112 0.7500
2 Na 0.9112 0.0888 0.2500
3 Cd 0.2700 0.7300 0.2500
4 Cd 0.7300 0.2700 0.7500
5 Cu 0.2284 0.3995 0.7042
6 Cu 0.3995 0.2284 0.2042
7 Cu 0.6005 0.7716 0.7958
8 Cu 0.7716 0.6005 0.2958
9 Br 0.0267 0.2191 0.6428
10 Br 0.1397 0.6185 0.8929
11 Br 0.2191 0.0267 0.1428
12 Br 0.2871 0.4407 0.3870
13 Br 0.3815 0.8603 0.6071
14 Br 0.4407 0.2871 0.8870
15 Br 0.5593 0.7129 0.1130
16 Br 0.6185 0.1397 0.3929
17 Br 0.7129 0.5593 0.6130
18 Br 0.7809 0.9733 0.8572
19 Br 0.8603 0.3815 0.1071
20 Br 0.9733 0.7809 0.3572

***

Simulated powder XRD pattern of RbAg2HgBr4 for copper Kα, from a structure optimized by DFT (GGA-PBE).
Kinematic intensities with the Lorentz-polarization factor, no thermal factor.

Peak list (8 most intense, 2θ = 5–70°, most intense first)
two_theta  I (rel.)
22.77  100
37.09  46
45.33  31
38.65  23
42.56  16
14.80  15
68.92  14
58.84  11

Atomic structure:
Lattice parameters (Å, degrees): 8.5419 8.5413 6.5886 67.32 67.31 45.37
Element x y z (fractional)
1 Rb 0.0000 0.0000 0.0000
2 Ag 0.2495 0.2495 0.2505
3 Ag 0.7495 0.7495 0.7505
4 Hg 0.4992 0.4992 0.5008
5 Br 0.1233 0.5727 0.8767
6 Br 0.4272 0.8751 0.1249
7 Br 0.5727 0.1233 0.4273
8 Br 0.8751 0.4272 0.5728

***

Simulated powder XRD pattern of MnNb3B for copper Kα, from a structure optimized by DFT (GGA-PBE).
Kinematic intensities with the Lorentz-polarization factor, no thermal factor.

Peak list (8 most intense, 2θ = 5–70°, most intense first)
two_theta  I (rel.)
19.67  100
39.96  94
34.42  88
57.79  61
44.92  45
69.03  34
61.67  21
27.96  4

Atomic structure:
Lattice parameters (Å, degrees): 4.5124 4.5124 4.5124 90.00 90.00 90.00
Element x y z (fractional)
1 Mn 0.0000 0.0000 0.0000
2 Nb 0.0000 0.0000 0.5000
3 Nb 0.0000 0.5000 0.0000
4 Nb 0.5000 0.0000 0.0000
5 B 0.5000 0.5000 0.5000